(1)
Starting from a cell relaxed with PBE, the X-ray powder pattern of Pm3Y6Th2Sc was simulated for Cu Kα.
Kinematic intensities with the Lorentz-polarization factor, no thermal factor.

Main lines, low angle first (2θ from 10° to 90°):
- (0 0 2), d = 5.818 Å, I = 8
- (2 0 0), d = 3.039 Å, I = 6
- (1 3 1), d = 2.909 Å, I = 100
- (2 0 2), d = 2.520 Å, I = 50
- (0 6 0), d = 1.782 Å, I = 35
- (4 0 0), d = 1.519 Å, I = 42
- (2 6 2), d = 1.455 Å, I = 12
- (4 6 0), d = 1.156 Å, I = 9
- (1 9 1), d = 1.156 Å, I = 8
- (4 6 -4), d = 1.127 Å, I = 16

Crystal structure
a b c (Å): 6.1731 10.6873 11.8172
angles (deg): 90.00 100.04 90.00
Space group C2/m (No. 12)
Symmetry-distinct sites (fractional):
Pm (0.0000, 0.0000, 0.0000) x2
Pm (0.0000, 0.3336, 0.0000) x4
Y (0.2472, 0.0000, 0.7442) x4
Y (0.2476, 0.3333, 0.7438) x8
Th (0.0000, 0.1665, 0.5000) x4
Sc (0.0000, 0.5000, 0.5000) x2

(2)
Starting from a cell relaxed with PBE, the X-ray powder pattern of Y2PaNbC4 was simulated for Cu Kα.
Kinematic intensities with the Lorentz-polarization factor, no thermal factor.

Main lines, low angle first (2θ from 10° to 90°):
- (1 0 1), d = 5.658 Å, I = 31
- (1 2 1), d = 2.982 Å, I = 13
- (0 2 2), d = 2.858 Å, I = 72
- (2 0 2), d = 2.829 Å, I = 70
- (2 2 0), d = 2.463 Å, I = 100
- (0 4 0), d = 1.754 Å, I = 12
- (2 2 4), d = 1.742 Å, I = 45
- (2 4 2), d = 1.491 Å, I = 21
- (4 2 2), d = 1.478 Å, I = 21
- (0 4 4), d = 1.429 Å, I = 12

Crystal structure
a b c (Å): 6.9085 7.0165 9.8603
angles (deg): 90.00 90.00 90.00
Space group Imma (No. 74)
Symmetry-distinct sites (fractional):
Y (0.0000, 0.0000, 0.0000) x4
Y (0.2500, 0.2500, 0.2500) x4
Pa (0.0000, 0.0000, 0.5000) x4
Nb (0.2500, 0.2500, 0.7500) x4
C (0.0000, 0.0231, 0.7454) x8
C (0.2366, 0.2500, 0.5174) x8

(3)
Starting from a cell relaxed with PBE, the X-ray powder pattern of Nd3Tm3Cd was simulated for Cu Kα.
Kinematic intensities with the Lorentz-polarization factor, no thermal factor.

Main lines, low angle first (2θ from 10° to 90°):
- (1 2 0), d = 3.109 Å, I = 24
- (0 0 2), d = 2.777 Å, I = 24
- (1 2 1), d = 2.713 Å, I = 100
- (1 2 2), d = 2.071 Å, I = 15
- (4 1 0), d = 1.795 Å, I = 19
- (1 2 3), d = 1.591 Å, I = 20
- (4 1 2), d = 1.508 Å, I = 21
- (2 4 1), d = 1.497 Å, I = 15
- (5 3 1), d = 1.150 Å, I = 12
- (4 1 4), d = 1.098 Å, I = 8

Crystal structure
a b c (Å): 9.4986 9.4986 5.5545
angles (deg): 90.00 90.00 120.00
Space group P6_3/m (No. 176)
Symmetry-distinct sites (fractional):
Nd (0.1060, 0.6334, 0.2500) x6
Tm (0.0562, 0.8226, 0.7500) x6
Cd (0.3333, 0.6667, 0.7500) x2

(4)
Starting from a cell relaxed with PBE, the X-ray powder pattern of La3TbY7 was simulated for Cu Kα.
Kinematic intensities with the Lorentz-polarization factor, no thermal factor.

Main lines, low angle first (2θ from 10° to 90°):
- (1 0 0), d = 6.196 Å, I = 14
- (0 0 3), d = 2.935 Å, I = 33
- (0 2 1), d = 2.922 Å, I = 100
- (2 0 2), d = 2.534 Å, I = 67
- (0 2 4), d = 1.794 Å, I = 23
- (2 2 0), d = 1.789 Å, I = 23
- (2 0 5), d = 1.531 Å, I = 14
- (4 0 1), d = 1.527 Å, I = 41
- (0 4 2), d = 1.461 Å, I = 12
- (2 4 1), d = 1.161 Å, I = 11

Crystal structure
a b c (Å): 7.1547 7.1547 8.8054
angles (deg): 90.00 90.00 120.00
Space group P3m1 (No. 156)
Symmetry-distinct sites (fractional):
La (0.1670, 0.3340, 0.0000) x3
Tb (0.3333, 0.6667, 0.3384) x1
Y (0.0000, 0.0000, 0.6603) x1
Y (0.0016, 0.5008, 0.6600) x3
Y (0.3322, 0.1661, 0.3383) x3